Entry 1:
The following is a simulated powder diffraction line list of K2AuI5. It was derived from a crystal structure in Alexandria, relaxed with GGA-PBE, using a wavelength of 1.5418 Å.
Kinematic intensities with the Lorentz-polarization factor, no thermal factor.

Top 8 peaks for 2θ = 10–80°, by angle:
two_theta  I/Imax
13.5  36
14.6  49
19.4  100
21.5  51
26.9  26
29.4  78
31.4  54
39.1  31

```
K2AuI5
1.0
10.686 0.000 0.000
0.000 9.353 0.000
-4.336 0.000 7.183
K Au I
4 2 10
Direct
0.000 0.000 0.000
0.009 0.500 0.693
0.500 0.500 0.000
0.509 0.000 0.693
0.254 0.500 0.346
0.754 0.000 0.346
0.246 0.295 0.569
0.246 0.705 0.569
0.253 0.000 0.845
0.263 0.295 0.123
0.263 0.705 0.123
0.746 0.205 0.569
0.746 0.795 0.569
0.753 0.500 0.845
0.763 0.205 0.123
0.763 0.795 0.123
```

***

Entry 2:
The following is a simulated powder diffraction line list of RuBrF2. It was derived from a crystal structure in Alexandria, relaxed with GGA-PBE, using a wavelength of 1.5418 Å.
Kinematic intensities with the Lorentz-polarization factor, no thermal factor.

Top 8 peaks for 2θ = 10–80°, by angle:
two_theta  I/Imax
16.2  100
19.4  38
26.9  47
27.2  41
33.6  44
38.6  26
39.3  40
48.5  63

```
RuBrF2
1.0
8.320 0.000 0.000
0.000 3.281 0.000
0.000 0.000 5.485
Ru Br F
2 2 4
Direct
0.000 0.000 0.000
0.500 0.000 0.000
0.250 0.000 0.244
0.750 0.000 0.756
0.074 0.500 0.802
0.426 0.500 0.802
0.574 0.500 0.198
0.926 0.500 0.198
```

***

Entry 3:
The following is a simulated powder diffraction line list of CdHg. It was derived from a crystal structure in Alexandria, relaxed with GGA-PBE, using a wavelength of 1.5418 Å.
Kinematic intensities with the Lorentz-polarization factor, no thermal factor.

Top 8 peaks for 2θ = 10–80°, by angle:
two_theta  I/Imax
33.8  100
38.2  36
41.2  15
55.2  12
57.4  21
66.3  28
70.3  11
71.1  12

```
CdHg
1.0
3.329 0.000 0.000
0.000 3.329 0.000
0.000 0.000 8.772
Cd Hg
2 2
Direct
0.250 0.250 0.120
0.750 0.750 0.880
0.250 0.250 0.632
0.750 0.750 0.368
```

***

Entry 4:
The following is a simulated powder diffraction line list of NaPu4O12. It was derived from a crystal structure in Alexandria, relaxed with GGA-PBE, using a wavelength of 1.5418 Å.
Kinematic intensities with the Lorentz-polarization factor, no thermal factor.

Top 8 peaks for 2θ = 10–80°, by angle:
two_theta  I/Imax
21.6  100
21.8  48
30.7  34
30.9  70
38.0  28
49.6  33
49.9  22
54.7  31

```
NaPu4O12
1.0
-4.076 4.114 4.116
4.076 -4.114 4.116
4.076 4.114 -4.116
Na Pu O
1 4 12
Direct
0.000 0.000 0.000
0.000 0.000 0.500
0.000 0.500 0.000
0.500 0.000 0.000
0.500 0.500 0.500
0.001 0.721 0.279
0.237 0.026 0.789
0.237 0.448 0.211
0.255 0.214 0.469
0.255 0.786 0.041
0.442 0.721 0.721
0.558 0.279 0.279
0.745 0.214 0.959
0.745 0.786 0.531
0.763 0.552 0.789
0.763 0.974 0.211
0.999 0.279 0.721
```

***

Entry 5:
The following is a simulated powder diffraction line list of CdP3O9. It was derived from a crystal structure in Alexandria, relaxed with GGA-PBE, using a wavelength of 1.5418 Å.
Kinematic intensities with the Lorentz-polarization factor, no thermal factor.

Top 8 peaks for 2θ = 10–80°, by angle:
two_theta  I/Imax
17.3  23
17.5  46
21.9  22
24.6  76
25.2  100
27.7  20
28.1  29
35.5  40

```
CdP3O9
1.0
4.896 -5.111 0.000
4.896 5.111 0.000
0.000 0.000 7.243
Cd P O
2 6 18
Direct
0.198 0.198 0.000
0.802 0.802 0.500
0.286 0.286 0.500
0.291 0.697 0.957
0.303 0.709 0.543
0.697 0.291 0.043
0.709 0.303 0.457
0.714 0.714 0.000
0.123 0.811 0.530
0.178 0.238 0.674
0.189 0.877 0.970
0.193 0.522 0.036
0.238 0.178 0.326
0.272 0.506 0.447
0.352 0.648 0.750
0.478 0.807 0.464
0.494 0.728 0.053
0.506 0.272 0.553
0.522 0.193 0.964
0.648 0.352 0.250
0.728 0.494 0.947
0.762 0.822 0.826
0.807 0.478 0.536
0.811 0.123 0.470
0.822 0.762 0.174
0.877 0.189 0.030
```

***

Entry 6:
The following is a simulated powder diffraction line list of NaCeZrS4. It was derived from a crystal structure in Alexandria, relaxed with GGA-PBE, using a wavelength of 1.5418 Å.
Kinematic intensities with the Lorentz-polarization factor, no thermal factor.

Top 8 peaks for 2θ = 10–80°, by angle:
two_theta  I/Imax
13.1  75
14.0  100
25.4  68
26.2  34
26.8  29
31.4  47
31.6  93
45.1  81

```
NaCeZrS4
1.0
-3.815 4.215 5.704
3.815 -4.215 5.704
3.815 4.215 -5.704
Na Ce Zr S
2 2 2 8
Direct
0.387 0.137 0.250
0.613 0.863 0.750
0.000 0.500 0.500
0.500 0.500 0.000
0.000 0.000 0.500
0.000 0.500 0.000
0.208 0.746 0.462
0.217 0.254 0.962
0.227 0.239 0.512
0.227 0.715 0.988
0.773 0.285 0.012
0.773 0.761 0.488
0.783 0.746 0.038
0.792 0.254 0.538
```

***

Entry 7:
The following is a simulated powder diffraction line list of Zr2Pa2S7. It was derived from a crystal structure in Alexandria, relaxed with GGA-PBE, using a wavelength of 1.5418 Å.
Kinematic intensities with the Lorentz-polarization factor, no thermal factor.

Top 8 peaks for 2θ = 10–80°, by angle:
two_theta  I/Imax
20.9  15
24.3  100
28.0  14
40.0  25
40.2  47
47.3  34
47.7  15
72.8  16

```
Zr2Pa2S7
1.0
4.511 0.000 0.000
0.000 4.511 0.000
0.000 0.000 12.613
Zr Pa S
2 2 7
Direct
0.000 0.500 0.118
0.500 0.000 0.882
0.000 0.500 0.635
0.500 0.000 0.365
0.000 0.000 0.000
0.000 0.000 0.254
0.000 0.000 0.746
0.500 0.500 0.000
0.500 0.500 0.240
0.500 0.500 0.500
0.500 0.500 0.760
```

***

Entry 8:
The following is a simulated powder diffraction line list of Pm2Ga2NiRu. It was derived from a crystal structure in Alexandria, relaxed with GGA-PBE, using a wavelength of 1.5418 Å.
Kinematic intensities with the Lorentz-polarization factor, no thermal factor.

Top 8 peaks for 2θ = 10–80°, by angle:
two_theta  I/Imax
13.1  34
24.5  42
31.8  29
33.7  88
39.5  79
40.1  75
42.0  100
58.6  39

```
Pm2Ga2NiRu
1.0
-3.005 6.772 3.088
3.005 -6.772 3.088
3.005 6.772 -3.088
Pm Ga Ni Ru
4 4 2 2
Direct
0.155 0.244 0.399
0.345 0.744 0.090
0.655 0.256 0.910
0.845 0.756 0.601
0.096 0.738 0.834
0.404 0.238 0.642
0.596 0.762 0.358
0.904 0.262 0.166
0.250 0.750 0.500
0.750 0.250 0.500
0.250 0.250 0.000
0.750 0.750 0.000
```

***

Entry 9:
The following is a simulated powder diffraction line list of Tb6OsI10. It was derived from a crystal structure in Alexandria, relaxed with GGA-PBE, using a wavelength of 1.5418 Å.
Kinematic intensities with the Lorentz-polarization factor, no thermal factor.

Top 8 peaks for 2θ = 10–80°, by angle:
two_theta  I/Imax
24.6  13
27.8  51
28.8  100
40.4  34
40.6  34
41.1  17
41.3  17
50.4  24

```
Tb6OsI10
1.0
7.779 0.000 0.000
-2.417 9.466 0.000
-1.135 -3.260 9.191
Tb Os I
6 1 10
Direct
0.034 0.219 0.418
0.116 0.543 0.260
0.346 0.623 0.665
0.654 0.377 0.335
0.884 0.457 0.740
0.966 0.781 0.582
0.000 0.500 0.500
0.087 0.871 0.321
0.223 0.246 0.156
0.255 0.585 0.958
0.344 0.947 0.771
0.456 0.316 0.591
0.544 0.684 0.409
0.656 0.053 0.229
0.745 0.415 0.042
0.777 0.754 0.844
0.913 0.129 0.679
```

***

Entry 10:
The following is a simulated powder diffraction line list of CeTlHgGe. It was derived from a crystal structure in Alexandria, relaxed with GGA-PBE, using a wavelength of 1.5418 Å.
Kinematic intensities with the Lorentz-polarization factor, no thermal factor.

Top 8 peaks for 2θ = 10–80°, by angle:
two_theta  I/Imax
20.8  11
34.3  100
40.4  7
49.3  18
54.0  3
61.4  38
72.2  12
76.1  2

```
CeTlHgGe
1.0
7.399 0.000 0.000
0.000 7.399 0.000
0.000 0.000 7.399
Ce Tl Hg Ge
4 4 4 4
Direct
0.000 0.000 0.000
0.000 0.500 0.500
0.500 0.000 0.500
0.500 0.500 0.000
0.000 0.000 0.500
0.000 0.500 0.000
0.500 0.000 0.000
0.500 0.500 0.500
0.250 0.250 0.750
0.250 0.750 0.250
0.750 0.250 0.250
0.750 0.750 0.750
0.250 0.250 0.250
0.250 0.750 0.750
0.750 0.250 0.750
0.750 0.750 0.250
```

***

Entry 11:
The following is a simulated powder diffraction line list of Ba3GaPd2. It was derived from a crystal structure in Alexandria, relaxed with GGA-PBE, using a wavelength of 1.5418 Å.
Kinematic intensities with the Lorentz-polarization factor, no thermal factor.

Top 8 peaks for 2θ = 10–80°, by angle:
two_theta  I/Imax
27.1  63
27.6  100
28.5  74
29.1  53
31.3  40
35.9  30
36.5  41
38.9  51

```
Ba3GaPd2
1.0
12.889 0.000 0.000
0.000 4.633 0.000
0.000 0.000 13.567
Ba Ga Pd
12 4 8
Direct
0.067 0.250 0.115
0.124 0.750 0.549
0.193 0.250 0.799
0.307 0.750 0.299
0.376 0.250 0.049
0.433 0.750 0.615
0.567 0.250 0.385
0.624 0.750 0.951
0.693 0.250 0.701
0.807 0.750 0.201
0.876 0.250 0.451
0.933 0.750 0.885
0.125 0.250 0.359
0.375 0.750 0.859
0.625 0.250 0.141
0.875 0.750 0.641
0.049 0.750 0.316
0.204 0.750 0.966
0.296 0.250 0.466
0.451 0.250 0.816
0.549 0.750 0.184
0.704 0.750 0.534
0.796 0.250 0.034
0.951 0.250 0.684
```

***

Entry 12:
The following is a simulated powder diffraction line list of Sr4Sb. It was derived from a crystal structure in Alexandria, relaxed with GGA-PBE, using a wavelength of 1.5418 Å.
Kinematic intensities with the Lorentz-polarization factor, no thermal factor.

Top 8 peaks for 2θ = 10–80°, by angle:
two_theta  I/Imax
13.8  34
19.5  31
23.9  46
27.7  100
39.6  76
49.0  27
64.7  35
71.8  26

```
Sr4Sb
1.0
6.439 0.000 0.000
0.000 6.439 0.000
0.000 0.000 6.439
Sr Sb
4 1
Direct
0.000 0.000 0.000
0.000 0.500 0.500
0.500 0.000 0.500
0.500 0.500 0.000
0.500 0.500 0.500
```

***

Entry 13:
The following is a simulated powder diffraction line list of PbSe2. It was derived from a crystal structure in Alexandria, relaxed with GGA-PBE, using a wavelength of 1.5418 Å.
Kinematic intensities with the Lorentz-polarization factor, no thermal factor.

Top 8 peaks for 2θ = 10–80°, by angle:
two_theta  I/Imax
19.5  37
24.1  40
24.7  100
34.8  53
38.8  50
39.1  24
48.9  21
56.9  22

```
PbSe2
1.0
5.770 0.000 0.000
0.000 7.400 0.000
0.000 0.000 4.610
Pb Se
2 4
Direct
0.000 0.000 0.000
0.500 0.500 0.500
0.161 0.398 0.000
0.339 0.898 0.500
0.661 0.102 0.500
0.839 0.602 0.000
```